(1)
IClF3: simulated powder X-ray diffraction pattern (Cu Kα), based on DFT lattice parameters and positions (PBE).

Largest 10 diffraction maxima, in order of rising 2θ, 10° ≤ 2θ ≤ 80°:
hkl	d/Å	I/Imax
1 0 1	5.764	31
1 1 0	4.795	53
1 1 1	4.392	34
1 0 2	4.259	100
2 0 1	3.239	15
2 1 1	2.922	17
2 0 2	2.882	15
2 0 3	2.484	14
2 1 3	2.332	22
1 2 4	2.032	15

Structure:
Cell: 6.7810 6.7810 10.9451 Å, 90.00 90.00 90.00°
Space group P4_1 (No. 76)
Symmetry-distinct sites (fractional):
I: 0.0746 0.6163 0.0000 x4
Cl: 0.2341 0.4824 0.6107 x4
F: 0.9998 0.3940 0.9039 x4
F: 0.0909 0.2263 0.3818 x4
F: 0.2184 0.4300 0.1031 x4

(2)
La5Tb2CePm: simulated powder X-ray diffraction pattern (Cu Kα), based on DFT lattice parameters and positions (PBE).

Largest 10 diffraction maxima, in order of rising 2θ, 10° ≤ 2θ ≤ 80°:
hkl	d/Å	I/Imax
2 1 1	3.448	33
2 0 2	3.103	100
2 2 0	2.932	36
2 1 2	2.906	84
3 1 0	2.623	24
3 1 1	2.525	13
0 0 4	2.338	26
4 1 2	1.849	24
2 2 4	1.828	16
4 2 2	1.725	18

Structure:
Cell: 8.2936 8.2936 9.3531 Å, 90.00 90.00 90.00°
Space group P4/mbm (No. 127)
Symmetry-distinct sites (fractional):
La: 0.0000 0.0000 0.0000 x2
La: 0.1905 0.3095 0.2735 x8
Tb: 0.1292 0.6292 0.0000 x4
Ce: 0.0000 0.5000 0.5000 x2
Pm: 0.0000 0.0000 0.5000 x2

(3)
Na2Hg5Au: simulated powder X-ray diffraction pattern (Cu Kα), based on DFT lattice parameters and positions (PBE).

Largest 10 diffraction maxima, in order of rising 2θ, 10° ≤ 2θ ≤ 80°:
hkl	d/Å	I/Imax
0 2 2	4.682	38
1 1 0	3.692	69
1 5 0	2.794	100
0 2 4	2.540	50
1 1 3	2.534	38
0 6 3	2.468	31
0 8 2	2.342	64
1 7 2	2.135	78
2 0 0	1.874	24
2 8 2	1.463	27

Structure:
Cell: 3.7483 20.9701 10.4617 Å, 90.00 90.00 90.00°
Space group Cmcm (No. 63)
Symmetry-distinct sites (fractional):
Na: 0.0000 0.0000 0.0000 x4
Na: 0.0000 0.1711 0.2500 x4
Hg: 0.0000 0.2198 0.6108 x8
Hg: 0.0000 0.3748 0.5201 x8
Hg: 0.0000 0.4183 0.2500 x4
Au: 0.0000 0.4464 0.7500 x4

(4)
Nb3Pb2O10: simulated powder X-ray diffraction pattern (Cu Kα), based on DFT lattice parameters and positions (PBE).

Largest 10 diffraction maxima, in order of rising 2θ, 10° ≤ 2θ ≤ 80°:
hkl	d/Å	I/Imax
4 0 -2	3.596	21
1 1 -2	3.291	52
3 1 1	3.271	100
4 0 1	3.230	53
6 0 -1	3.180	30
0 2 0	3.058	27
0 2 1	2.820	21
7 1 -3	2.111	21
10 0 0	1.752	22
11 1 -2	1.668	30

Structure:
Cell: 19.0787 6.1162 7.9706 Å, 90.00 113.41 90.00°
Space group C2/m (No. 12)
Symmetry-distinct sites (fractional):
Nb: 0.0000 0.2474 0.0000 x4
Nb: 0.0850 0.5000 0.4817 x4
Nb: 0.1891 0.5000 0.0392 x4
Pb: 0.0896 0.0000 0.7088 x4
Pb: 0.2049 0.0000 0.3697 x4
O: 0.0000 0.2774 0.5000 x4
O: 0.0199 0.0000 0.1785 x4
O: 0.0270 0.5000 0.1880 x4
O: 0.1060 0.2709 0.0169 x8
O: 0.1309 0.5000 0.7471 x4
O: 0.1453 0.2574 0.4766 x8
O: 0.2327 0.5000 0.2910 x4
O: 0.2500 0.2500 0.0000 x4

(5)
Ho4CdRuRh2: simulated powder X-ray diffraction pattern (Cu Kα), based on DFT lattice parameters and positions (PBE).

Largest 10 diffraction maxima, in order of rising 2θ, 10° ≤ 2θ ≤ 80°:
hkl	d/Å	I/Imax
1 0 4	3.479	9
0 1 8	2.467	96
1 1 0	2.453	100
2 0 8	1.740	33
1 0 16	1.427	14
1 2 8	1.419	34
3 0 0	1.416	18
1 1 15	1.350	2
0 2 16	1.234	9
2 2 0	1.227	11

Structure:
Cell: 4.9061 4.9061 24.2454 Å, 90.00 90.00 120.00°
Space group R-3m (No. 166, hexagonal axes)
Symmetry-distinct sites (fractional):
Ho: 0.0000 0.0000 0.1177 x6
Ho: 0.0000 0.0000 0.3701 x6
Cd: 0.0000 0.0000 0.5000 x3
Ru: 0.0000 0.0000 0.0000 x3
Rh: 0.0000 0.0000 0.2497 x6

(6)
RbIrN2: simulated powder X-ray diffraction pattern (Cu Kα), based on DFT lattice parameters and positions (PBE).

Largest 10 diffraction maxima, in order of rising 2θ, 10° ≤ 2θ ≤ 80°:
hkl	d/Å	I/Imax
1 0 1	4.784	33
2 0 0	3.084	56
1 1 2	2.860	100
2 2 0	2.180	22
3 1 2	1.734	46
2 0 4	1.614	19
4 0 0	1.542	8
2 2 4	1.430	13
4 2 0	1.379	12
3 3 2	1.357	10

Structure:
Cell: 6.1671 6.1671 7.5794 Å, 90.00 90.00 90.00°
Space group I-42d (No. 122)
Symmetry-distinct sites (fractional):
Rb: 0.0000 0.0000 0.0000 x4
Ir: 0.0000 0.0000 0.5000 x4
N: 0.1031 0.2500 0.6250 x8

(7)
SnBAu: simulated powder X-ray diffraction pattern (Cu Kα), based on DFT lattice parameters and positions (PBE).

Largest 10 diffraction maxima, in order of rising 2θ, 10° ≤ 2θ ≤ 80°:
hkl	d/Å	I/Imax
2 0 0	3.262	65
0 2 1	2.912	100
0 4 0	2.313	27
2 2 -1	2.271	54
2 2 1	2.086	39
2 4 0	1.887	31
0 0 2	1.874	14
4 2 -1	1.478	14
0 6 1	1.426	13
2 4 -2	1.374	20

Structure:
Cell: 6.5636 9.2534 3.7709 Å, 90.00 96.28 90.00°
Space group C2/m (No. 12)
Symmetry-distinct sites (fractional):
Sn: 0.2343 0.0000 0.4595 x4
B: 0.0000 0.4117 0.0000 x4
Au: 0.2500 0.2500 0.0000 x4

(8)
Hg2OsF8: simulated powder X-ray diffraction pattern (Cu Kα), based on DFT lattice parameters and positions (PBE).

Largest 10 diffraction maxima, in order of rising 2θ, 10° ≤ 2θ ≤ 80°:
hkl	d/Å	I/Imax
1 0 0	4.527	52
1 1 0	3.918	46
1 0 1	3.838	37
0 1 -1	3.813	100
0 1 2	3.191	46
-1 1 1	3.029	35
0 2 1	2.888	35
1 1 2	2.852	30
2 1 0	2.253	31
1 -2 0	2.223	28

Structure:
Cell: 4.6450 6.0156 6.7624 Å, 73.98 82.89 77.64°
Space group P-1 (No. 2)
Symmetry-distinct sites (fractional):
Hg: 0.1858 0.1412 0.1410 x2
Os: 0.0000 0.5000 0.5000 x1
F: 0.1126 0.4942 0.7737 x2
F: 0.2678 0.2175 0.4519 x2
F: 0.2731 0.6997 0.3635 x2
F: 0.2883 0.9147 0.9082 x2

(9)
Ni2AgP2: simulated powder X-ray diffraction pattern (Cu Kα), based on DFT lattice parameters and positions (PBE).

Largest 10 diffraction maxima, in order of rising 2θ, 10° ≤ 2θ ≤ 80°:
hkl	d/Å	I/Imax
2 0 0	3.496	23
2 1 0	3.127	13
2 2 0	2.472	22
1 1 1	2.402	63
3 1 0	2.211	100
2 0 1	2.160	22
2 1 1	2.064	70
2 2 1	1.838	16
4 2 0	1.564	13
4 0 1	1.475	20

Structure:
Cell: 6.9924 6.9924 2.7479 Å, 90.00 90.00 90.00°
Space group P4/mbm (No. 127)
Symmetry-distinct sites (fractional):
Ni: 0.1329 0.3671 0.0000 x4
Ag: 0.0000 0.0000 0.5000 x2
P: 0.1523 0.6523 0.5000 x4

(10)
CaMn2S4: simulated powder X-ray diffraction pattern (Cu Kα), based on DFT lattice parameters and positions (PBE).

Largest 10 diffraction maxima, in order of rising 2θ, 10° ≤ 2θ ≤ 80°:
hkl	d/Å	I/Imax
1 0 1	6.095	65
1 1 2	3.916	26
1 0 3	3.715	42
0 0 4	3.313	61
2 1 1	2.991	82
1 0 5	2.473	58
2 2 0	2.427	58
2 2 4	1.958	100
3 2 1	1.884	37
4 0 0	1.716	36

Structure:
Cell: 6.8643 6.8643 13.2528 Å, 90.00 90.00 90.00°
Space group I4_1/amd (No. 141, origin choice 2)
Symmetry-distinct sites (fractional):
Ca: 0.0000 0.2500 0.3750 x4
Mn: 0.0000 0.0000 0.0000 x8
S: 0.0000 0.0208 0.7730 x16

(11)
Nd4Ir2I: simulated powder X-ray diffraction pattern (Cu Kα), based on DFT lattice parameters and positions (PBE).

Largest 10 diffraction maxima, in order of rising 2θ, 10° ≤ 2θ ≤ 80°:
hkl	d/Å	I/Imax
0 0 6	7.222	35
1 0 7	3.158	100
1 0 13	2.468	25
0 1 14	2.367	23
1 1 0	2.120	41
1 1 6	2.034	9
0 1 20	1.866	16
0 2 7	1.760	19
2 1 7	1.354	16
1 1 27	1.280	8

Structure:
Cell: 4.2397 4.2397 43.3349 Å, 90.00 90.00 120.00°
Space group R-3m (No. 166, hexagonal axes)
Symmetry-distinct sites (fractional):
Nd: 0.0000 0.0000 0.1266 x6
Nd: 0.0000 0.0000 0.2742 x6
Ir: 0.0000 0.0000 0.4268 x6
I: 0.0000 0.0000 0.0000 x3

(12)
K2Zr6BeCl15: simulated powder X-ray diffraction pattern (Cu Kα), based on DFT lattice parameters and positions (PBE).

Largest 10 diffraction maxima, in order of rising 2θ, 10° ≤ 2θ ≤ 80°:
hkl	d/Å	I/Imax
0 2 0	8.328	39
1 1 1	7.915	100
0 4 2	3.615	13
2 2 3	3.372	26
2 2 4	2.868	15
3 5 0	2.516	15
2 6 1	2.463	26
3 3 4	2.375	29
5 1 1	2.252	10
0 0 8	1.802	25

Structure:
Cell: 11.5120 16.6562 14.4141 Å, 90.00 90.00 90.00°
Space group Cccm (No. 66)
Symmetry-distinct sites (fractional):
K: 0.0000 0.0000 0.2500 x4
K: 0.2500 0.2500 0.0000 x4
Zr: 0.1294 0.3079 0.3822 x16
Zr: 0.1372 0.1312 0.5000 x8
Be: 0.2500 0.2500 0.5000 x4
Cl: 0.0000 0.0000 0.0000 x4
Cl: 0.0000 0.3732 0.2500 x8
Cl: 0.0078 0.1828 0.1238 x16
Cl: 0.0153 0.3703 0.0000 x8
Cl: 0.2470 0.4403 0.3720 x16
Cl: 0.2500 0.2500 0.2479 x8